Structure and simulated PXRD pattern of CrSiO5 (a DFT-relaxed cell (PBE+U, Alexandria); Cu Kα).
Kinematic intensities with the Lorentz-polarization factor, no thermal factor.

Main lines, sorted by position (2θ from 10° to 90°):
hkl 1 1 0, 17.64°, I = 48
hkl 1 1 -1, 19.80°, I = 69
hkl 1 1 1, 22.15°, I = 100
hkl 0 0 2, 22.74°, I = 10
hkl 1 1 -2, 27.13°, I = 18
hkl 0 2 1, 27.40°, I = 10
hkl 2 0 -2, 31.10°, I = 17
hkl 0 2 2, 33.95°, I = 31
hkl 2 2 0, 35.72°, I = 12
hkl 2 2 2, 45.20°, I = 9

Cell and atoms:
Cell lengths 7.164, 7.161, 7.938 Å; angles 90.00, 99.84, 90.00 degrees
Space group Cc (No. 9)
One atom of each set of equivalent atoms:
Cr  0.000  0.213  0.000 x4
Si  0.212  0.465  0.726 x4
O  0.023  0.417  0.139 x4
O  0.136  0.062  0.099 x4
O  0.158  0.328  0.875 x4
O  0.281  0.335  0.577 x4
O  0.386  0.392  0.299 x4